Structure and computed powder diffractogram of Ac4Cu2Sn5 (DFT lattice parameters and positions (PBE); CuKα).
Lines closer than 0.1° are merged.

Structural model:
```
Ac4Cu2Sn5
1.0
7.891 0.000 0.000
0.000 4.758 0.000
-0.226 0.000 9.013
Ac Cu Sn
4 2 5
Direct
0.222 0.000 0.137
0.257 0.000 0.622
0.743 0.000 0.378
0.778 0.000 0.863
0.076 0.500 0.385
0.924 0.500 0.615
0.110 0.500 0.868
0.409 0.500 0.355
0.500 0.500 0.000
0.591 0.500 0.645
0.890 0.500 0.132
```

The 10 most intense peaks (2θ from 10° to 90°), in order of rising 2θ:
hkl 2 0 0, 2θ = 22.51°, rel. 138; hkl 1 1 -2, 2θ = 29.39°, rel. 1000; hkl 1 1 2, 2θ = 29.75°, rel. 427; hkl 0 2 0, 2θ = 37.82°, rel. 224; hkl 3 0 -2, 2θ = 39.23°, rel. 166; hkl 0 0 4, 2θ = 40.02°, rel. 127; hkl 3 0 2, 2θ = 40.14°, rel. 124; hkl 3 2 -2, 2θ = 55.63°, rel. 122; hkl 0 2 4, 2θ = 56.28°, rel. 189; hkl 1 3 -2, 2θ = 63.18°, rel. 150